The following is a simulated powder XRD pattern of Nd2As7Rh12. It was derived from the PBE geometry in Alexandria, using CuKα.

Largest 10 diffraction maxima, in order of falling intensity, 2θ = 10–90°:
d 2.525, I 100, (1 2 1); d 1.986, I 28, (0 0 2); d 1.889, I 24, (4 1 0); d 2.055, I 17, (4 -3 1); d 1.369, I 13, (4 1 2); d 1.227, I 10, (3 -1 3); d 1.181, I 9, (3 5 1); d 2.499, I 9, (2 2 0); d 2.334, I 9, (0 3 1); d 1.900, I 8, (4 0 1)

Crystal structure
```
data_Nd2As7Rh12
_chemical_formula_sum 'Nd2 As7 Rh12'
_cell_length_a 9.9973
_cell_length_b 9.9973
_cell_length_c 3.9705
_cell_angle_alpha 90.00
_cell_angle_beta 90.00
_cell_angle_gamma 120.00
_symmetry_space_group_name_H-M 'P -3'
_symmetry_Int_Tables_number 147
loop_
_symmetry_equiv_pos_as_xyz
'x,y,z'
'-x,-y,-z'
'-y,x-y,z'
'y,-x+y,-z'
'-x+y,-x,z'
'x-y,x,-z'
loop_
_atom_site_label
_atom_site_type_symbol
_atom_site_fract_x
_atom_site_fract_y
_atom_site_fract_z
_atom_site_occupancy
Nd1 Nd 0.3333 0.6667 0.2510 1
As1 As 0.0000 0.0000 0.0000 1
As2 As 0.1156 0.4036 0.7492 1
Rh1 Rh 0.0632 0.6186 0.7502 1
Rh2 Rh 0.1150 0.8519 0.2532 1
```